# 1
The following is a theoretical powder XRD pattern of Ac6NdEr2. It was derived from the PBE geometry in Alexandria, using copper Kα.

Crystal structure
```
data_Ac6NdEr2
_chemical_formula_sum 'Ac24 Nd4 Er8'
_symmetry_space_group_name_H-M 'C 1 2/c 1'
_symmetry_Int_Tables_number 15
_cell_length_a 16.147
_cell_length_b 9.837
_cell_length_c 9.571
_cell_angle_alpha 90.00
_cell_angle_beta 92.88
_cell_angle_gamma 90.00
loop_
_symmetry_equiv_pos_as_xyz
'x,y,z'
'-x,-y,-z'
'-x,y,-z+1/2'
'x,-y,z+1/2'
'x+1/2,y+1/2,z'
'-x+1/2,-y+1/2,-z'
'-x+1/2,y+1/2,-z+1/2'
'x+1/2,-y+1/2,z+1/2'
loop_
_atom_site_label
_atom_site_fract_x
_atom_site_fract_y
_atom_site_fract_z
Ac1 0.075 0.181 0.109
Ac2 0.112 0.490 0.867
Ac3 0.161 0.141 0.477
Nd1 0.000 0.148 0.750
Er1 0.228 0.174 0.833
```

Most intense lines, 5° ≤ 2θ ≤ 70°, by angle:
- 4.203 Å, rel. 13, hkl 2 0 -2
- 3.286 Å, rel. 45, hkl 3 1 2
- 3.213 Å, rel. 50, hkl 1 3 0
- 3.196 Å, rel. 17, hkl 2 2 -2
- 3.116 Å, rel. 20, hkl 2 2 2
- 3.004 Å, rel. 100, hkl 1 1 -3
- 2.960 Å, rel. 39, hkl 5 1 -1
- 2.675 Å, rel. 15, hkl 0 2 3
- 2.569 Å, rel. 26, hkl 2 2 -3
- 1.905 Å, rel. 12, hkl 4 4 2
- 1.815 Å, rel. 13, hkl 8 2 1
- 1.687 Å, rel. 12, hkl 5 3 -4

---

# 2
The following is a theoretical powder XRD pattern of Th5Tc2Te. It was derived from the PBE geometry in Alexandria, using copper Kα.

Crystal structure
```
data_Th5Tc2Te
_chemical_formula_sum 'Th20 Tc8 Te4'
_symmetry_space_group_name_H-M 'I 4/m c m'
_symmetry_Int_Tables_number 140
_symmetry_space_group_name_Hall '-I 4 2c'
_cell_length_a 8.030
_cell_length_b 8.030
_cell_length_c 13.741
_cell_angle_alpha 90.00
_cell_angle_beta 90.00
_cell_angle_gamma 90.00
loop_
_atom_site_label
_atom_site_fract_x
_atom_site_fract_y
_atom_site_fract_z
Th1 0.000 0.000 0.000
Th2 0.156 0.344 0.134
Tc1 0.143 0.357 0.500
Te1 0.000 0.000 0.250
```

Most intense lines, 5° ≤ 2θ ≤ 70°, by angle:
- 3.474 Å, rel. 32, hkl 2 1 1
- 2.939 Å, rel. 32, hkl 1 1 4
- 2.839 Å, rel. 12, hkl 2 2 0
- 2.826 Å, rel. 100, hkl 2 1 3
- 2.610 Å, rel. 32, hkl 2 0 4
- 2.539 Å, rel. 67, hkl 3 1 0
- 2.183 Å, rel. 23, hkl 2 1 5
- 1.792 Å, rel. 13, hkl 4 1 3
- 1.733 Å, rel. 16, hkl 4 0 4
- 1.658 Å, rel. 22, hkl 3 3 4
- 1.423 Å, rel. 21, hkl 3 1 8
- 1.418 Å, rel. 24, hkl 4 4 0

---

# 3
The following is a theoretical powder XRD pattern of NaTb2PrS4. It was derived from the PBE geometry in Alexandria, using copper Kα.

Crystal structure
```
data_NaTb2PrS4
_chemical_formula_sum 'Na1 Tb2 Pr1 S4'
_symmetry_space_group_name_H-M 'P 1 2/m 1'
_symmetry_Int_Tables_number 10
_cell_length_a 6.937
_cell_length_b 3.974
_cell_length_c 6.981
_cell_angle_alpha 90.00
_cell_angle_beta 109.00
_cell_angle_gamma 90.00
loop_
_symmetry_equiv_pos_as_xyz
'x,y,z'
'-x,-y,-z'
'-x,y,-z'
'x,-y,z'
loop_
_atom_site_label
_atom_site_fract_x
_atom_site_fract_y
_atom_site_fract_z
Na1 0.000 0.000 0.000
Tb1 0.000 0.500 0.500
Tb2 0.500 0.000 0.500
Pr1 0.500 0.500 0.000
S1 0.242 0.000 0.738
S2 0.253 0.500 0.263
```

Most intense lines, 5° ≤ 2θ ≤ 70°, by angle:
- 6.586 Å, rel. 26, hkl 0 0 1
- 3.300 Å, rel. 16, hkl 0 0 2
- 3.280 Å, rel. 15, hkl 2 0 0
- 3.253 Å, rel. 30, hkl 1 1 -1
- 2.833 Å, rel. 100, hkl 1 1 1
- 2.021 Å, rel. 12, hkl 2 0 2
- 2.008 Å, rel. 24, hkl 1 1 -3
- 1.999 Å, rel. 24, hkl 3 1 -1
- 1.987 Å, rel. 12, hkl 0 2 0
- 1.701 Å, rel. 10, hkl 0 2 2
- 1.627 Å, rel. 12, hkl 2 2 -2
- 1.417 Å, rel. 11, hkl 4 0 -4